The following is a simulated powder X-ray diffraction pattern of Mg3HgBi. It was derived from a cell relaxed with GGA-PBE, using Cu Kα.

Top 10 peaks for 5 to 70 degrees two-theta, by intensity:
| Position (°2θ) | Rel. int. |
| --- | --- |
| 26.52 | 100 |
| 37.11 | 96 |
| 37.33 | 64 |
| 23.15 | 59 |
| 24.63 | 57 |
| 24.90 | 52 |
| 38.53 | 50 |
| 20.97 | 47 |
| 26.75 | 42 |
| 27.17 | 41 |

Structural model:
a b c (Å): 4.6730 7.6860 8.5779
angles (deg): 64.76 89.53 72.47
Element x y z (fractional)
Mg: 0.0515 0.3891 0.2067
Mg: 0.2455 0.0093 0.7303
Mg: 0.3932 0.7094 0.2167
Mg: 0.6068 0.2906 0.7833
Mg: 0.7545 0.9907 0.2697
Mg: 0.9485 0.6109 0.7933
Hg: 0.1692 0.1600 0.0073
Hg: 0.8308 0.8400 0.9927
Bi: 0.3910 0.7342 0.5612
Bi: 0.6090 0.2658 0.4388


The following is a simulated powder X-ray diffraction pattern of Mg2Hg2Bi. It was derived from a cell relaxed with GGA-PBE, using Cu Kα.

Top 10 peaks for 5 to 70 degrees two-theta, by intensity:
| Position (°2θ) | Rel. int. |
| --- | --- |
| 35.10 | 100 |
| 33.81 | 96 |
| 23.73 | 79 |
| 29.67 | 68 |
| 33.38 | 47 |
| 50.79 | 35 |
| 53.25 | 35 |
| 63.78 | 32 |
| 65.65 | 25 |
| 30.15 | 19 |

Structural model:
a b c (Å): 8.3838 8.3838 3.4956
angles (deg): 90.00 90.00 90.00
Element x y z (fractional)
Mg: 0.1468 0.3532 0.0000
Mg: 0.3532 0.8532 0.0000
Mg: 0.6468 0.1468 0.0000
Mg: 0.8532 0.6468 0.0000
Hg: 0.1497 0.6497 0.5000
Hg: 0.3503 0.1497 0.5000
Hg: 0.6497 0.8503 0.5000
Hg: 0.8503 0.3503 0.5000
Bi: 0.0000 0.0000 0.0000
Bi: 0.5000 0.5000 0.0000


The following is a simulated powder X-ray diffraction pattern of Mg6Hg3Bi. It was derived from a cell relaxed with GGA-PBE, using Cu Kα.

Top 10 peaks for 5 to 70 degrees two-theta, by intensity:
| Position (°2θ) | Rel. int. |
| --- | --- |
| 28.16 | 100 |
| 21.97 | 94 |
| 37.13 | 84 |
| 24.47 | 65 |
| 39.51 | 50 |
| 38.34 | 44 |
| 34.83 | 41 |
| 21.18 | 40 |
| 42.04 | 34 |
| 27.33 | 30 |

Structural model:
a b c (Å): 10.0563 4.5611 11.4710
angles (deg): 90.00 111.42 90.00
Element x y z (fractional)
Mg: 0.0493 0.2500 0.2163
Mg: 0.1199 0.7500 0.6014
Mg: 0.2134 0.7500 0.1030
Mg: 0.3505 0.7500 0.4703
Mg: 0.3904 0.2500 0.7407
Mg: 0.4085 0.2500 0.0327
Mg: 0.5915 0.7500 0.9673
Mg: 0.6096 0.7500 0.2593
Mg: 0.6495 0.2500 0.5297
Mg: 0.7866 0.2500 0.8970
Mg: 0.8801 0.2500 0.3986
Mg: 0.9507 0.7500 0.7837
Hg: 0.0895 0.2500 0.9252
Hg: 0.1829 0.2500 0.4848
Hg: 0.2846 0.7500 0.8643
Hg: 0.7154 0.2500 0.1357
Hg: 0.8171 0.7500 0.5152
Hg: 0.9105 0.7500 0.0748
Bi: 0.3791 0.2500 0.2956
Bi: 0.6209 0.7500 0.7044


The following is a simulated powder X-ray diffraction pattern of HgBi4Mo2. It was derived from a cell relaxed with GGA-PBE, using Cu Kα.

Top 10 peaks for 5 to 70 degrees two-theta, by intensity:
| Position (°2θ) | Rel. int. |
| --- | --- |
| 31.68 | 100 |
| 25.45 | 57 |
| 40.47 | 57 |
| 24.54 | 51 |
| 34.75 | 38 |
| 45.41 | 38 |
| 12.20 | 33 |
| 47.73 | 32 |
| 52.29 | 27 |
| 43.75 | 26 |

Structural model:
a b c (Å): 5.6490 5.6490 14.5126
angles (deg): 90.00 90.00 90.00
Element x y z (fractional)
Hg: 0.0000 0.0000 0.0000
Hg: 0.5000 0.5000 0.5000
Bi: 0.0000 0.0000 0.2285
Bi: 0.0000 0.0000 0.7715
Bi: 0.0000 0.5000 0.0000
Bi: 0.0000 0.5000 0.5000
Bi: 0.5000 0.0000 0.0000
Bi: 0.5000 0.0000 0.5000
Bi: 0.5000 0.5000 0.2715
Bi: 0.5000 0.5000 0.7285
Mo: 0.0000 0.0000 0.4232
Mo: 0.0000 0.0000 0.5768
Mo: 0.5000 0.5000 0.0768
Mo: 0.5000 0.5000 0.9232


The following is a simulated powder X-ray diffraction pattern of Hg3BiN2. It was derived from a cell relaxed with GGA-PBE, using Cu Kα.

Top 10 peaks for 5 to 70 degrees two-theta, by intensity:
| Position (°2θ) | Rel. int. |
| --- | --- |
| 29.71 | 100 |
| 30.02 | 49 |
| 31.87 | 38 |
| 35.06 | 31 |
| 35.18 | 30 |
| 35.28 | 24 |
| 48.85 | 15 |
| 49.35 | 11 |
| 49.44 | 11 |
| 61.69 | 10 |

Structural model:
a b c (Å): 3.7285 6.3698 11.4250
angles (deg): 79.45 89.84 89.88
Element x y z (fractional)
Hg: 0.2488 0.0061 0.2280
Hg: 0.2511 0.2689 0.4988
Hg: 0.2507 0.8043 0.9890
Hg: 0.7493 0.1957 0.0110
Hg: 0.7489 0.7311 0.5012
Hg: 0.7512 0.9939 0.7720
Bi: 0.2486 0.4830 0.7716
Bi: 0.7514 0.5170 0.2284
N: 0.2512 0.2000 0.6827
N: 0.2513 0.3317 0.3123
N: 0.7487 0.6683 0.6877
N: 0.7488 0.8000 0.3173


The following is a simulated powder X-ray diffraction pattern of Na4Hg9Bi2. It was derived from a cell relaxed with GGA-PBE, using Cu Kα.

Top 10 peaks for 5 to 70 degrees two-theta, by intensity:
| Position (°2θ) | Rel. int. |
| --- | --- |
| 33.58 | 100 |
| 33.36 | 91 |
| 33.65 | 50 |
| 33.43 | 45 |
| 19.95 | 42 |
| 59.96 | 27 |
| 60.07 | 27 |
| 59.86 | 17 |
| 47.96 | 17 |
| 48.27 | 17 |

Structural model:
a b c (Å): 5.3262 5.3319 16.4908
angles (deg): 89.71 89.81 60.16
Element x y z (fractional)
Na: 0.1664 0.1657 0.3478
Na: 0.1667 0.1669 0.1340
Na: 0.8333 0.8331 0.8660
Na: 0.8336 0.8343 0.6522
Hg: 0.1669 0.1675 0.5449
Hg: 0.1666 0.1665 0.9464
Hg: 0.4997 0.4989 0.3992
Hg: 0.5000 0.5000 0.0000
Hg: 0.4999 0.4996 0.1967
Hg: 0.5001 0.5004 0.8033
Hg: 0.5003 0.5011 0.6008
Hg: 0.8334 0.8335 0.0536
Hg: 0.8331 0.8325 0.4551
Bi: 0.1668 0.1672 0.7513
Bi: 0.8332 0.8328 0.2487